Computed PXRD pattern of Ba2AlTlCr2O7 for λ = 1.5418 Å (Cu Kα), from a DFT-relaxed cell (GGA+U, the Materials Project).

Top 8 peaks for 2θ = 10–90°, by angle:
(hkl), 2θ (°), intensity
1 0 2, 26.86, 665
1 0 3, 30.86, 1000
1 1 0, 33.06, 578
0 0 5, 33.75, 518
2 0 0, 47.45, 307
1 1 5, 47.96, 306
2 1 3, 57.68, 340
2 0 5, 59.48, 229

Crystal structure
Cell: 3.8318 3.8318 13.2836 Å, 90.00 90.00 90.00°
Space group P4/mmm (No. 123)
Symmetry-distinct sites (fractional):
Ba1 0.0000 0.0000 0.1985 x2
Al1 0.0000 0.0000 0.5000 x1
Tl1 0.5000 0.5000 0.0000 x1
Cr1 0.5000 0.5000 0.3711 x2
O1 0.0000 0.0000 0.0000 x1
O2 0.0000 0.5000 0.4065 x4
O3 0.5000 0.5000 0.2249 x2

Computed PXRD pattern of LiCr2P2O9 for λ = 1.5418 Å (Cu Kα), from a DFT-relaxed cell (GGA+U, the Materials Project).

Top 8 peaks for 2θ = 10–90°, by angle:
(hkl), 2θ (°), intensity
2 0 0, 12.74, 666
2 0 1, 17.29, 847
1 1 1, 19.33, 607
2 1 1, 22.31, 452
1 0 2, 24.25, 1000
0 2 0, 28.23, 550
3 0 2, 30.41, 326
1 2 1, 31.30, 711

Crystal structure
Cell: 13.8925 6.3256 7.6094 Å, 90.00 90.00 90.00°
Space group Pnma (No. 62)
Symmetry-distinct sites (fractional):
Li1 0.2294 0.2500 0.0535 x4
Cr1 0.0000 0.0000 0.0000 x4
Cr2 0.1184 0.2500 0.6486 x4
P1 0.0647 0.7500 0.6486 x4
P2 0.1940 0.7500 0.1093 x4
O1 0.0152 0.2500 0.4886 x4
O2 0.0149 0.7500 0.8349 x4
O3 0.0486 0.2500 0.8558 x4
O4 0.1319 0.5594 0.6359 x8
O5 0.1330 0.5457 0.0939 x8
O6 0.2229 0.2500 0.4716 x4
O7 0.2448 0.2500 0.7830 x4